(1)
Simulated PXRD pattern
Compound: LiMn6O4F8
Radiation: Cu Kα
Structure: the GGA+U geometry in Alexandria
Intensities are scaled so that the largest is 1000.

Most intense lines, 2θ = 10–90°, sorted by position:
d_spacing	I_rel
3.620	1000
3.452	913
2.700	549
2.664	188
2.641	233
1.808	394
1.726	195
1.584	209

Structure:
```
LiMn6O4F8
1.0
5.0522 0.0000 0.0000
0.2926 5.9393 0.0000
0.1248 0.6803 7.9220
Li Mn O F
1 6 4 8
Direct
0.0000 0.0000 0.0000 Li
0.0832 0.3654 0.2133 Mn
0.5042 0.8119 0.1935 Mn
0.5139 0.4924 0.5254 Mn
0.5451 0.1464 0.8533 Mn
0.9540 0.6128 0.8342 Mn
0.9928 0.9964 0.5409 Mn
0.3585 0.5462 0.3065 O
0.6483 0.0723 0.0833 O
0.6694 0.4378 0.7393 O
0.8224 0.9501 0.7792 O
0.1740 0.0180 0.2806 F
0.1759 0.2926 0.9503 F
0.2066 0.6785 0.6194 F
0.2827 0.7890 0.9790 F
0.3256 0.1792 0.6139 F
0.7021 0.8042 0.4230 F
0.8182 0.6082 0.0933 F
0.8235 0.3103 0.4251 F
```



(2)
Simulated PXRD pattern
Compound: Li6Mn2O5F2
Radiation: Cu Kα
Structure: the GGA+U geometry in Alexandria
Intensities are scaled so that the largest is 1000.

Most intense lines, 2θ = 10–90°, sorted by position:
d_spacing	I_rel
5.073	1000
4.775	636
4.523	684
3.773	434
3.257	491
2.143	673
2.111	638
2.025	660

Structure:
```
Li6Mn2O5F2
1.0
5.8193 0.0000 0.0000
-2.7172 5.1472 0.0000
-0.4838 -1.6831 9.7887
Li Mn O F
12 4 10 4
Direct
0.0000 0.0000 0.0000 Li
0.0043 0.4531 0.9982 Li
0.1837 0.7550 0.7147 Li
0.2349 0.4805 0.5005 Li
0.3459 0.1854 0.2237 Li
0.3649 0.7215 0.2096 Li
0.4460 0.4412 0.0021 Li
0.6285 0.1979 0.7117 Li
0.6668 0.7783 0.6833 Li
0.7894 0.0400 0.4904 Li
0.8085 0.5077 0.5130 Li
0.8403 0.6750 0.1906 Li
0.1556 0.2543 0.7383 Mn
0.2705 0.9904 0.4676 Mn
0.4832 0.9496 0.9721 Mn
0.8639 0.1978 0.2322 Mn
0.0079 0.9172 0.6041 O
0.0885 0.1432 0.3669 O
0.1604 0.3382 0.1307 O
0.2807 0.5884 0.8680 O
0.3394 0.1152 0.8536 O
0.4469 0.8606 0.5760 O
0.5479 0.0737 0.3436 O
0.6580 0.8228 0.0916 O
0.6662 0.2925 0.0967 O
0.9676 0.3717 0.6298 O
0.1418 0.8187 0.0972 F
0.5041 0.4121 0.6105 F
0.8084 0.0521 0.8461 F
0.9825 0.6007 0.3527 F
```



(3)
Simulated PXRD pattern
Compound: Li3Mn5OF11
Radiation: Cu Kα
Structure: the GGA+U geometry in Alexandria
Intensities are scaled so that the largest is 1000.

Most intense lines, 2θ = 10–90°, sorted by position:
d_spacing	I_rel
3.961	1000
3.860	483
2.888	418
2.864	410
2.842	412
2.366	561
1.815	558
1.568	300

Structure:
```
Li3Mn5OF11
1.0
5.3564 0.0000 0.0000
2.5829 5.0935 0.0000
0.1224 2.9472 8.9325
Li Mn O F
3 5 1 11
Direct
0.0000 0.0000 0.0000 Li
0.2079 0.5616 0.7201 Li
0.7459 0.4899 0.2408 Li
0.0704 0.8383 0.3482 Mn
0.3051 0.3747 0.0868 Mn
0.5303 0.9797 0.4975 Mn
0.5645 0.8798 0.8574 Mn
0.8453 0.3698 0.6033 Mn
0.9500 0.6848 0.5432 O
0.0137 0.6700 0.8878 F
0.0724 0.1528 0.1476 F
0.0837 0.1651 0.4472 F
0.1142 0.1602 0.8118 F
0.4701 0.6687 0.0546 F
0.4909 0.6899 0.7048 F
0.5180 0.6574 0.3901 F
0.5670 0.1877 0.6495 F
0.5911 0.1615 0.9579 F
0.6032 0.1908 0.2879 F
0.9979 0.6643 0.1892 F
```



(4)
Simulated PXRD pattern
Compound: Li2MnO2F
Radiation: Cu Kα
Structure: the GGA+U geometry in Alexandria
Intensities are scaled so that the largest is 1000.

Most intense lines, 2θ = 10–90°, sorted by position:
d_spacing	I_rel
4.354	764
4.057	1000
2.707	347
2.293	543
2.115	206
2.032	882
1.749	174
1.521	472

Structure:
```
Li2MnO2F
1.0
2.8476 0.0000 0.0000
0.0000 4.5855 0.0000
0.0000 0.0000 8.7070
Li Mn O F
4 2 4 2
Direct
0.0000 0.0000 0.1768 Li
0.0000 0.0000 0.8232 Li
0.5000 0.5000 0.3232 Li
0.5000 0.5000 0.6768 Li
0.0000 0.0000 0.5000 Mn
0.5000 0.5000 0.0000 Mn
0.0000 0.5000 0.1524 O
0.0000 0.5000 0.8476 O
0.5000 0.0000 0.3476 O
0.5000 0.0000 0.6524 O
0.0000 0.5000 0.5000 F
0.5000 0.0000 0.0000 F
```



(5)
Simulated PXRD pattern
Compound: Li3Mn3O5F3
Radiation: Cu Kα
Structure: the GGA+U geometry in Alexandria
Intensities are scaled so that the largest is 1000.

Most intense lines, 2θ = 10–90°, sorted by position:
d_spacing	I_rel
4.954	146
4.922	1000
4.878	163
2.596	195
2.458	148
2.149	281
2.137	277
2.053	245

Structure:
```
Li3Mn3O5F3
1.0
5.8237 0.0000 0.0000
-2.6766 5.2683 0.0000
-2.9051 -1.7805 4.9223
Li Mn O F
3 3 5 3
Direct
0.0000 0.0000 0.0000 Li
0.2245 0.5880 0.8783 Li
0.4800 0.1950 0.7573 Li
0.2359 0.5955 0.3839 Mn
0.7362 0.0998 0.3893 Mn
0.7358 0.5833 0.3960 Mn
0.1828 0.7950 0.5952 O
0.2898 0.3976 0.1706 O
0.7035 0.8407 0.5851 O
0.7413 0.3543 0.6033 O
0.7683 0.3484 0.1857 O
0.2332 0.8415 0.1159 F
0.2421 0.3471 0.6483 F
0.7348 0.8428 0.1545 F
```



(6)
Simulated PXRD pattern
Compound: Li7MnO3F3
Radiation: Cu Kα
Structure: the GGA+U geometry in Alexandria
Intensities are scaled so that the largest is 1000.

Most intense lines, 2θ = 10–90°, sorted by position:
d_spacing	I_rel
5.209	667
4.704	569
4.624	541
4.205	515
4.040	523
2.547	1000
2.419	667
2.408	769

Structure:
```
Li7MnO3F3
1.0
5.5131 0.0000 0.0000
2.7398 5.4044 0.0000
0.4359 2.5981 9.4083
Li Mn O F
14 2 6 6
Direct
0.0000 0.0000 0.0000 Li
0.0029 0.6852 0.8740 Li
0.0131 0.2838 0.4493 Li
0.0261 0.2764 0.7978 Li
0.0410 0.0032 0.6661 Li
0.0842 0.2513 0.1066 Li
0.1278 0.5807 0.2361 Li
0.4542 0.7550 0.3452 Li
0.4889 0.9984 0.4986 Li
0.4965 0.0162 0.8046 Li
0.5315 0.2949 0.9482 Li
0.5761 0.3008 0.6007 Li
0.5833 0.6405 0.7382 Li
0.9653 0.0200 0.3092 Li
0.0075 0.6652 0.5597 Mn
0.5112 0.6737 0.0447 Mn
0.1996 0.9030 0.4902 O
0.2201 0.8692 0.1739 O
0.2368 0.8906 0.8506 O
0.7305 0.9120 0.6702 O
0.8094 0.4039 0.9443 O
0.8539 0.3961 0.6113 O
0.2830 0.4308 0.0749 F
0.3223 0.3749 0.4334 F
0.3296 0.3848 0.7683 F
0.7091 0.9318 0.9778 F
0.7319 0.8648 0.3556 F
0.8781 0.3947 0.2564 F
```



(7)
Simulated PXRD pattern
Compound: Li5MnO3F
Radiation: Cu Kα
Structure: the GGA+U geometry in Alexandria
Intensities are scaled so that the largest is 1000.

Most intense lines, 2θ = 10–90°, sorted by position:
d_spacing	I_rel
6.640	680
3.823	128
3.452	1000
3.020	116
2.172	493
1.850	151
1.668	166
1.660	170

Structure:
```
Li5MnO3F
1.0
4.7606 0.0000 0.0000
0.0000 9.5910 0.0000
-2.0678 0.0000 9.2028
Li Mn O F
20 4 12 4
Direct
0.0038 0.0362 0.3799 Li
0.0043 0.0371 0.8793 Li
0.0043 0.4629 0.8793 Li
0.0038 0.4638 0.3799 Li
0.0238 0.7500 0.8924 Li
0.4831 0.0389 0.6178 Li
0.4831 0.4611 0.6178 Li
0.4877 0.7500 0.6088 Li
0.4901 0.5305 0.8775 Li
0.4901 0.9695 0.8775 Li
0.5099 0.0305 0.1225 Li
0.5099 0.4695 0.1225 Li
0.5123 0.2500 0.3912 Li
0.5169 0.5389 0.3822 Li
0.5169 0.9611 0.3822 Li
0.9762 0.2500 0.1076 Li
0.9962 0.5362 0.6201 Li
0.9957 0.5371 0.1207 Li
0.9957 0.9629 0.1207 Li
0.9962 0.9638 0.6201 Li
0.0229 0.7500 0.3733 Mn
0.4609 0.7500 0.1374 Mn
0.5391 0.2500 0.8626 Mn
0.9771 0.2500 0.6267 Mn
0.2286 0.1055 0.7402 O
0.2286 0.3945 0.7402 O
0.2465 0.6061 0.4947 O
0.2465 0.8939 0.4947 O
0.2473 0.5978 0.9988 O
0.2473 0.9022 0.9988 O
0.7527 0.0978 0.0012 O
0.7527 0.4022 0.0012 O
0.7535 0.1061 0.5053 O
0.7535 0.3939 0.5053 O
0.7714 0.6055 0.2598 O
0.7714 0.8945 0.2598 O
0.2619 0.1056 0.2527 F
0.2619 0.3944 0.2527 F
0.7381 0.6056 0.7473 F
0.7381 0.8944 0.7473 F
```



(8)
Simulated PXRD pattern
Compound: Li8MnO4F2
Radiation: Cu Kα
Structure: the GGA+U geometry in Alexandria
Intensities are scaled so that the largest is 1000.

Most intense lines, 2θ = 10–90°, sorted by position:
d_spacing	I_rel
5.452	436
4.963	735
3.670	1000
3.628	557
2.825	415
2.735	761
2.726	639
1.654	442

Structure:
```
Li8MnO4F2
1.0
4.8598 -2.8864 0.0000
4.8598 2.8864 0.0000
0.0000 0.0000 10.9038
Li Mn O F
16 2 8 4
Direct
0.0661 0.9339 0.5000 Li
0.1197 0.5105 0.0200 Li
0.1630 0.1660 0.2807 Li
0.1660 0.1630 0.7807 Li
0.1784 0.8216 0.1560 Li
0.1963 0.5056 0.6386 Li
0.4895 0.8803 0.0200 Li
0.4944 0.8037 0.6386 Li
0.5056 0.1963 0.1386 Li
0.5105 0.1197 0.5200 Li
0.8037 0.4944 0.1386 Li
0.8216 0.1784 0.6560 Li
0.8340 0.8370 0.2807 Li
0.8370 0.8340 0.7807 Li
0.8803 0.4895 0.5200 Li
0.9339 0.0661 0.0000 Li
0.4613 0.5387 0.3810 Mn
0.5387 0.4613 0.8810 Mn
0.1405 0.8595 0.3300 O
0.1646 0.1756 0.0962 O
0.1756 0.1646 0.5962 O
0.4705 0.5295 0.0628 O
0.5295 0.4705 0.5628 O
0.8244 0.8354 0.0962 O
0.8354 0.8244 0.5962 O
0.8595 0.1405 0.8300 O
0.1579 0.5004 0.8268 F
0.5004 0.1579 0.3268 F
0.4996 0.8421 0.8268 F
0.8421 0.4996 0.3268 F
```